Calculated X-ray diffraction stick pattern of AgHPdAu for CuKα, from a cell relaxed with GGA-PBE.
Neutral-atom scattering factors, no anomalous dispersion.

Top 10 peaks for 10 to 90 degrees two-theta, by angle:
(hkl), 2θ/deg, d/Å, Rel. int.
0 0 1, 12.3, 7.194, 33.9
1 1 0, 35.3, 2.542, 42.4
1 1 -1, 36.1, 2.490, 35.6
0 0 3, 37.5, 2.398, 60.0
2 0 -2, 38.9, 2.317, 39.8
1 1 1, 39.0, 2.310, 74.1
2 0 1, 41.0, 2.202, 100.0
1 1 -3, 49.1, 1.857, 16.7
3 1 -1, 62.9, 1.479, 26.1
0 2 3, 75.7, 1.257, 30.3

```
data_AgHPdAu
_chemical_formula_sum 'Ag2 H2 Pd2 Au2'
_cell_length_a 5.1247
_cell_length_b 2.9524
_cell_length_c 7.3989
_cell_angle_alpha 90.00
_cell_angle_beta 103.52
_cell_angle_gamma 90.00
_space_group_name_H-M_alt 'C 1 m 1'
_space_group_IT_number 8
_space_group_name_Hall 'C -2y'
loop_
_atom_site_label
_atom_site_type_symbol
_atom_site_fract_x
_atom_site_fract_y
_atom_site_fract_z
Ag1 Ag 0.0000 0.0000 0.0000
H1 H 0.0764 0.5000 0.7391
Pd1 Pd 0.2164 0.0000 0.6606
Au1 Au 0.2791 0.5000 0.3290
```



Calculated X-ray diffraction stick pattern of Dy5Er5Tl for CuKα, from a cell relaxed with GGA-PBE.
Neutral-atom scattering factors, no anomalous dispersion.

Top 10 peaks for 10 to 90 degrees two-theta, by angle:
(hkl), 2θ/deg, d/Å, Rel. int.
1 1 0, 29.4, 3.034, 100.0
1 1 1, 30.6, 2.925, 18.9
0 0 4, 32.0, 2.794, 17.9
1 1 2, 33.6, 2.664, 21.9
2 0 1, 35.1, 2.555, 12.3
2 0 2, 37.9, 2.375, 15.3
1 1 3, 38.3, 2.351, 12.8
1 1 4, 44.1, 2.054, 13.2
3 0 0, 52.3, 1.750, 29.3
2 2 0, 61.2, 1.515, 16.4

```
data_Dy5Er5Tl
_chemical_formula_sum 'Dy5 Er5 Tl1'
_cell_length_a 6.0605
_cell_length_b 6.0605
_cell_length_c 11.1752
_cell_angle_alpha 90.00
_cell_angle_beta 90.00
_cell_angle_gamma 120.00
_space_group_name_H-M_alt 'P -6 m 2'
_space_group_IT_number 187
_space_group_name_Hall 'P -6 2'
loop_
_atom_site_label
_atom_site_type_symbol
_atom_site_fract_x
_atom_site_fract_y
_atom_site_fract_z
Dy1 Dy 0.0000 0.0000 0.0000
Dy2 Dy 0.3333 0.6667 0.2934
Dy3 Dy 0.6667 0.3333 0.1895
Er1 Er 0.0000 0.0000 0.2680
Er2 Er 0.3382 0.1691 0.5000
Tl1 Tl 0.3333 0.6667 0.0000
```